# Tl2TeSe4
Simulated powder XRD pattern, a wavelength of 1.5418 Å. Input: a PBE-relaxed structure.
Neutral-atom scattering factors, no anomalous dispersion.

Peak list (10 most intense, 2θ from 15° to 90°, most intense first)
| 2theta | intensity | h k l |
| --- | --- | --- |
| 29.90 | 100 | 2 0 1 |
| 42.50 | 75 | 2 4 1 |
| 29.50 | 51 | 0 4 0 |
| 51.98 | 20 | 4 4 0 |
| 41.80 | 19 | 4 0 0 |
| 53.66 | 19 | 0 4 2 |
| 43.77 | 18 | 0 0 2 |
| 69.61 | 16 | 2 8 1 |
| 70.24 | 16 | 4 4 2 |
| 33.43 | 16 | 2 2 1 |

```
data_Tl2TeSe4
_chemical_formula_sum 'Tl4 Te2 Se8'
_space_group_name_H-M_alt 'P b a m'
_space_group_IT_number 55
_cell_length_a 8.645
_cell_length_b 12.112
_cell_length_c 4.137
_cell_angle_alpha 90.00
_cell_angle_beta 90.00
_cell_angle_gamma 90.00
loop_
_space_group_symop_operation_xyz
'x,y,z'
'-x,-y,-z'
'-x,-y,z'
'x,y,-z'
'x+1/2,-y+1/2,-z'
'-x+1/2,y+1/2,z'
'-x+1/2,y+1/2,-z'
'x+1/2,-y+1/2,z'
loop_
_atom_site_label
_atom_site_fract_x
_atom_site_fract_y
_atom_site_fract_z
Tl1 0.248 0.249 0.000
Te1 0.000 0.500 0.500
Se1 0.001 0.737 0.500
Se2 0.230 0.499 0.000
```



# Tl3Te2Se6
Simulated powder XRD pattern, a wavelength of 1.5418 Å. Input: a PBE-relaxed structure.
Neutral-atom scattering factors, no anomalous dispersion.

Peak list (10 most intense, 2θ from 15° to 90°, most intense first)
| 2theta | intensity | h k l |
| --- | --- | --- |
| 33.20 | 100 | 2 0 0 |
| 31.37 | 85 | 1 1 6 |
| 23.31 | 65 | 1 1 0 |
| 23.89 | 51 | 1 0 5 |
| 29.39 | 47 | 1 0 7 |
| 47.66 | 36 | 2 2 0 |
| 44.92 | 30 | 2 1 7 |
| 58.17 | 30 | 3 1 6 |
| 60.46 | 29 | 2 1 13 |
| 35.52 | 28 | 1 0 9 |

```
data_Tl3Te2Se6
_chemical_formula_sum 'Tl6 Te4 Se12'
_space_group_name_H-M_alt 'I 4/m m m'
_space_group_IT_number 139
_space_group_name_Hall '-I 4 2'
_cell_length_a 5.397
_cell_length_b 5.397
_cell_length_c 25.740
_cell_angle_alpha 90.00
_cell_angle_beta 90.00
_cell_angle_gamma 90.00
loop_
_atom_site_label
_atom_site_fract_x
_atom_site_fract_y
_atom_site_fract_z
Tl1 0.000 0.000 0.000
Tl2 0.000 0.000 0.164
Te1 0.000 0.000 0.389
Se1 0.000 0.000 0.294
Se2 0.000 0.500 0.084
```



# Tl8TeSe5
Simulated powder XRD pattern, a wavelength of 1.5418 Å. Input: a PBE-relaxed structure.
Neutral-atom scattering factors, no anomalous dispersion.

Peak list (10 most intense, 2θ from 15° to 90°, most intense first)
| 2theta | intensity | h k l |
| --- | --- | --- |
| 39.49 | 100 | 4 4 0 |
| 23.88 | 94 | 2 2 2 |
| 27.64 | 89 | 4 0 0 |
| 36.15 | 38 | 5 1 1 |
| 46.67 | 36 | 6 2 2 |
| 71.62 | 25 | 8 4 4 |
| 64.57 | 21 | 8 4 0 |
| 76.30 | 21 | 9 5 1 |
| 48.88 | 21 | 4 4 4 |
| 57.07 | 14 | 8 0 0 |

```
data_Tl8TeSe5
_chemical_formula_sum 'Tl32 Te4 Se20'
_space_group_name_H-M_alt 'F -4 3 m'
_space_group_IT_number 216
_space_group_name_Hall 'F -4 2 3'
_cell_length_a 12.910
_cell_length_b 12.910
_cell_length_c 12.910
_cell_angle_alpha 90.00
_cell_angle_beta 90.00
_cell_angle_gamma 90.00
loop_
_atom_site_label
_atom_site_fract_x
_atom_site_fract_y
_atom_site_fract_z
Tl1 0.109 0.109 0.391
Tl2 0.135 0.135 0.865
Te1 0.250 0.250 0.250
Se1 0.000 0.000 0.000
Se2 0.125 0.125 0.625
```